(1)
Starting from a crystal structure in Alexandria, relaxed with PBE, the PXRD pattern of Th2TiWN6 was simulated for a wavelength of 1.5418 Å.
Lines closer than 0.1° are merged.

Crystal structure
abc: 5.4304 5.4304 4.7497
angles: 90.00 90.00 90.00
Space group P4mm (No. 99)
Unique sites:
1 Th 0.0000 0.5000 0.0000 [2 per cell]
2 Ti 0.0000 0.0000 0.5682 [1 per cell]
3 W 0.5000 0.5000 0.5729 [1 per cell]
4 N 0.0000 0.0000 0.1821 [1 per cell]
5 N 0.2536 0.2536 0.7021 [4 per cell]
6 N 0.5000 0.5000 0.1861 [1 per cell]

The 8 most intense peaks (2θ from 10° to 90°), in order of rising 2θ:
| two_theta | I (rel.) | hkl |
| --- | --- | --- |
| 18.68 | 13 | 0 0 1 |
| 29.92 | 100 | 1 1 1 |
| 32.99 | 39 | 2 0 0 |
| 37.89 | 11 | 0 0 2 |
| 44.88 | 12 | 1 1 2 |
| 47.35 | 19 | 2 2 0 |
| 51.10 | 22 | 2 0 2 |
| 57.03 | 34 | 3 1 1 |


(2)
Starting from a crystal structure in Alexandria, relaxed with PBE, the PXRD pattern of Th2TlN was simulated for a wavelength of 1.5418 Å.
Lines closer than 0.1° are merged.

Crystal structure
abc: 3.7281 3.7281 24.4311
angles: 90.00 90.00 120.00
Space group R-3m (No. 166, hexagonal axes)
Unique sites:
1 Th 0.0000 0.0000 0.2239 [6 per cell]
2 Tl 0.0000 0.0000 0.0000 [3 per cell]
3 N 0.0000 0.0000 0.5000 [3 per cell]

The 8 most intense peaks (2θ from 10° to 90°), in order of rising 2θ:
| two_theta | I (rel.) | hkl |
| --- | --- | --- |
| 27.87 | 28 | 1 0 1 |
| 31.34 | 100 | 1 0 4 |
| 33.00 | 36 | 0 0 9 |
| 33.26 | 70 | 0 1 5 |
| 48.86 | 40 | 1 1 0 |
| 56.67 | 19 | 1 0 13 |
| 60.24 | 53 | 1 1 9 |
| 81.23 | 17 | 1 2 5 |


(3)
Starting from a crystal structure in Alexandria, relaxed with PBE, the PXRD pattern of Th2UN6 was simulated for a wavelength of 1.5418 Å.
Lines closer than 0.1° are merged.

Crystal structure
abc: 5.2100 5.2100 11.0135
angles: 90.00 90.00 90.00
Space group P4_2/mnm (No. 136)
Unique sites:
1 Th 0.0000 0.0000 0.1646 [4 per cell]
2 U 0.0000 0.0000 0.5000 [2 per cell]
3 N 0.1797 0.1797 0.3521 [8 per cell]
4 N 0.2079 0.2079 0.0000 [4 per cell]

The 8 most intense peaks (2θ from 10° to 90°), in order of rising 2θ:
| two_theta | I (rel.) | hkl |
| --- | --- | --- |
| 24.16 | 96 | 1 1 0 |
| 29.77 | 100 | 1 0 3 |
| 34.43 | 32 | 2 0 0 |
| 46.14 | 72 | 2 1 3 |
| 55.80 | 18 | 3 1 0 |
| 55.97 | 20 | 1 1 6 |
| 58.82 | 20 | 3 0 3 |
| 69.97 | 18 | 3 2 3 |


(4)
Starting from a crystal structure in Alexandria, relaxed with PBE, the PXRD pattern of ThU3N4 was simulated for a wavelength of 1.5418 Å.
Lines closer than 0.1° are merged.

Crystal structure
abc: 4.9462 4.9462 4.9462
angles: 90.00 90.00 90.00
Space group Pm-3m (No. 221)
Unique sites:
1 Th 0.0000 0.0000 0.0000 [1 per cell]
2 U 0.0000 0.5000 0.5000 [3 per cell]
3 N 0.0000 0.0000 0.5000 [3 per cell]
4 N 0.5000 0.5000 0.5000 [1 per cell]

The 8 most intense peaks (2θ from 10° to 90°), in order of rising 2θ:
| two_theta | I (rel.) | hkl |
| --- | --- | --- |
| 31.32 | 100 | 1 1 1 |
| 36.33 | 65 | 2 0 0 |
| 52.32 | 46 | 2 2 0 |
| 62.25 | 46 | 3 1 1 |
| 65.36 | 16 | 2 2 2 |
| 77.14 | 8 | 4 0 0 |
| 85.59 | 21 | 3 3 1 |
| 88.38 | 23 | 4 2 0 |